# Si3Te
Computed X-ray diffraction stick pattern, Cu Kα X-rays. Input: a DFT-relaxed cell (PBE, Alexandria).
Neutral-atom scattering factors, no anomalous dispersion.

Largest 6 diffraction maxima, in order of falling intensity, 2θ from 15° to 90°:
2θ (°), Rel. int.
18.1, 100
34.7, 100
29.3, 95
37.5, 84
27.1, 62
50.9, 49

Structural model:
```
Si3Te
1.0
4.911 -5.229 0.000
4.911 5.229 0.000
0.000 0.000 3.746
Si Te
6 2
direct
0.068 0.593 0.750
0.068 0.932 0.750
0.407 0.932 0.750
0.593 0.068 0.250
0.932 0.068 0.250
0.932 0.407 0.250
0.359 0.641 0.250
0.641 0.359 0.750
```

# Er2Th3Sc
Computed X-ray diffraction stick pattern, Cu Kα X-rays. Input: a DFT-relaxed cell (PBE, Alexandria).
Neutral-atom scattering factors, no anomalous dispersion.

Largest 6 diffraction maxima, in order of falling intensity, 2θ from 15° to 90°:
2θ (°), Rel. int.
31.2, 100
36.0, 68
31.6, 51
31.0, 51
36.7, 32
61.6, 29

Structural model:
```
Er2Th3Sc
1.0
9.795 0.000 0.000
0.000 3.537 0.000
-0.205 0.000 10.537
Er Th Sc
4 6 2
direct
0.124 0.250 0.089
0.367 0.750 0.584
0.633 0.250 0.416
0.876 0.750 0.911
0.118 0.250 0.413
0.371 0.750 0.917
0.376 0.750 0.248
0.624 0.250 0.752
0.629 0.250 0.083
0.882 0.750 0.587
0.125 0.250 0.747
0.875 0.750 0.253
```

# Sr3Li3Tl2
Computed X-ray diffraction stick pattern, Cu Kα X-rays. Input: a DFT-relaxed cell (PBE, Alexandria).
Neutral-atom scattering factors, no anomalous dispersion.

Largest 6 diffraction maxima, in order of falling intensity, 2θ from 15° to 90°:
2θ (°), Rel. int.
32.9, 100
20.5, 78
31.8, 69
22.8, 67
29.4, 67
25.1, 65

Structural model:
```
Sr3Li3Tl2
1.0
8.985 0.000 0.000
0.000 17.325 0.000
0.000 0.000 6.582
Sr Li Tl
12 12 8
direct
0.033 0.104 0.129
0.033 0.396 0.129
0.164 0.250 0.642
0.336 0.750 0.142
0.467 0.604 0.629
0.467 0.896 0.629
0.533 0.104 0.371
0.533 0.396 0.371
0.664 0.250 0.858
0.836 0.750 0.358
0.967 0.604 0.871
0.967 0.896 0.871
0.170 0.035 0.601
0.170 0.465 0.601
0.171 0.750 0.609
0.329 0.250 0.109
0.330 0.535 0.101
0.330 0.965 0.101
0.670 0.035 0.899
0.670 0.465 0.899
0.671 0.750 0.891
0.829 0.250 0.391
0.830 0.535 0.399
0.830 0.965 0.399
0.122 0.604 0.369
0.122 0.896 0.369
0.378 0.104 0.869
0.378 0.396 0.869
0.622 0.604 0.131
0.622 0.896 0.131
0.878 0.104 0.631
0.878 0.396 0.631
```

> Which formula does entry 1 have?

Si3Te